No. 1
The following is a theoretical PXRD pattern of TiRe. It was derived from a GGA-PBE-relaxed structure, using Cu Kα (weighted mean of Kα1 and Kα2).
No peak broadening, texture or thermal motion is included.

```
data_TiRe
_chemical_formula_sum 'Ti1 Re1'
_space_group_name_H-M_alt 'P m -3 m'
_space_group_IT_number 221
_space_group_name_Hall '-P 4 2 3'
_cell_length_a 3.1187
_cell_length_b 3.1187
_cell_length_c 3.1187
_cell_angle_alpha 90.00
_cell_angle_beta 90.00
_cell_angle_gamma 90.00
loop_
_atom_site_label
_atom_site_type_symbol
_atom_site_fract_x
_atom_site_fract_y
_atom_site_fract_z
_atom_site_occupancy
Ti1 Ti 0.0000 0.0000 0.0000 1
Re1 Re 0.5000 0.5000 0.5000 1
```

Principal peaks in the range 2θ from 10° to 90°, in order of rising 2θ:
2theta  intensity
28.62  44
40.92  100
50.70  13
59.26  17
67.11  18
74.53  34
88.72  11

No. 2
The following is a theoretical PXRD pattern of Sn4P3. It was derived from a GGA-PBE-relaxed structure, using Cu Kα (weighted mean of Kα1 and Kα2).
No peak broadening, texture or thermal motion is included.

```
data_Sn4P3
_chemical_formula_sum 'Sn12 P9'
_space_group_name_H-M_alt 'R -3 m'
_space_group_IT_number 166
_space_group_name_Hall '-R 3 2"'
_cell_length_a 4.0184
_cell_length_b 4.0184
_cell_length_c 35.8860
_cell_angle_alpha 90.00
_cell_angle_beta 90.00
_cell_angle_gamma 120.00
loop_
_atom_site_label
_atom_site_type_symbol
_atom_site_fract_x
_atom_site_fract_y
_atom_site_fract_z
_atom_site_occupancy
Sn1 Sn 0.0000 0.0000 0.1331 1
Sn2 Sn 0.0000 0.0000 0.2901 1
P1 P 0.0000 0.0000 0.0000 1
P2 P 0.0000 0.0000 0.4290 1
```

Principal peaks in the range 2θ from 10° to 90°, in order of rising 2θ:
2theta  intensity
26.08  14
28.50  33
29.88  17
31.06  100
43.87  29
45.13  39
55.07  19
55.34  12
55.79  19
74.47  17

No. 3
The following is a theoretical PXRD pattern of BaMg15. It was derived from a GGA-PBE-relaxed structure, using Cu Kα (weighted mean of Kα1 and Kα2).
No peak broadening, texture or thermal motion is included.

```
data_BaMg15
_chemical_formula_sum 'Ba1 Mg15'
_space_group_name_H-M_alt 'P -6 m 2'
_space_group_IT_number 187
_space_group_name_Hall 'P -6 2'
_cell_length_a 6.6660
_cell_length_b 6.6660
_cell_length_c 10.4820
_cell_angle_alpha 90.00
_cell_angle_beta 90.00
_cell_angle_gamma 120.00
loop_
_atom_site_label
_atom_site_type_symbol
_atom_site_fract_x
_atom_site_fract_y
_atom_site_fract_z
_atom_site_occupancy
Ba1 Ba 0.0000 0.0000 0.0000 1
Mg1 Mg 0.0000 0.0000 0.5000 1
Mg2 Mg 0.0148 0.5074 0.0000 1
Mg3 Mg 0.1715 0.3431 0.2638 1
Mg4 Mg 0.5024 0.0047 0.5000 1
Mg5 Mg 0.6667 0.3333 0.2444 1
```

Principal peaks in the range 2θ from 10° to 90°, in order of rising 2θ:
2theta  intensity
15.35  19
17.54  30
22.92  19
30.98  27
34.22  24
35.51  100
46.82  16
55.11  18
62.10  17
66.49  19